(1)
Tb2DyRh: simulated powder X-ray diffraction pattern (Cu Kα (λ = 1.5418 Å)), based on the GGA-PBE geometry in Alexandria.

```
data_Tb2DyRh
_cell_length_a 7.173
_cell_length_b 9.556
_cell_length_c 6.295
_cell_angle_alpha 90.00
_cell_angle_beta 90.00
_cell_angle_gamma 90.00
_symmetry_space_group_name_H-M 'P n m a'
_symmetry_Int_Tables_number 62
loop_
_symmetry_equiv_pos_as_xyz
'x,y,z'
'-x,-y,-z'
'-x+1/2,-y,z+1/2'
'x+1/2,y,-z+1/2'
'x+1/2,-y+1/2,-z+1/2'
'-x+1/2,y+1/2,z+1/2'
'-x,y+1/2,-z'
'x,-y+1/2,z'
loop_
_atom_site_label
_atom_site_fract_x
_atom_site_fract_y
_atom_site_fract_z
Tb1 0.178 0.064 0.171
Dy1 0.035 0.250 0.639
Rh1 0.118 0.750 0.943
```

Top 6 peaks for 15 to 90 degrees two-theta, by intensity:
| 2theta | d (Å) | I (rel.) | (hkl) |
| --- | --- | --- | --- |
| 31.48 | 2.842 | 100 | 0 3 1 |
| 32.45 | 2.759 | 98 | 1 1 2 |
| 34.36 | 2.610 | 78 | 2 2 1 |
| 31.18 | 2.868 | 72 | 2 2 0 |
| 33.93 | 2.642 | 64 | 1 3 1 |
| 30.17 | 2.963 | 57 | 2 1 1 |



(2)
Tb3Mg6Sc2: simulated powder X-ray diffraction pattern (Cu Kα (λ = 1.5418 Å)), based on the GGA-PBE geometry in Alexandria.

```
data_Tb3Mg6Sc2
_cell_length_a 4.437
_cell_length_b 4.437
_cell_length_c 30.575
_cell_angle_alpha 90.00
_cell_angle_beta 90.00
_cell_angle_gamma 90.00
_symmetry_space_group_name_H-M 'I 4/m m m'
_symmetry_Int_Tables_number 139
_symmetry_space_group_name_Hall '-I 4 2'
loop_
_atom_site_label
_atom_site_fract_x
_atom_site_fract_y
_atom_site_fract_z
Tb1 0.000 0.000 0.000
Tb2 0.000 0.000 0.211
Mg1 0.000 0.000 0.318
Mg2 0.000 0.500 0.116
Sc1 0.000 0.000 0.453
```

Top 6 peaks for 15 to 90 degrees two-theta, by intensity:
| 2theta | d (Å) | I (rel.) | (hkl) |
| --- | --- | --- | --- |
| 24.79 | 3.591 | 100 | 1 0 5 |
| 33.21 | 2.697 | 83 | 1 0 9 |
| 30.81 | 2.902 | 78 | 1 1 4 |
| 28.45 | 3.137 | 58 | 1 1 0 |
| 40.67 | 2.218 | 44 | 2 0 0 |
| 53.48 | 1.713 | 42 | 2 1 9 |



(3)
Th3S: simulated powder X-ray diffraction pattern (Cu Kα (λ = 1.5418 Å)), based on the GGA-PBE geometry in Alexandria.

```
data_Th3S
_cell_length_a 4.672
_cell_length_b 4.672
_cell_length_c 9.929
_cell_angle_alpha 90.00
_cell_angle_beta 90.00
_cell_angle_gamma 90.00
_symmetry_space_group_name_H-M 'I 4/m m m'
_symmetry_Int_Tables_number 139
_symmetry_space_group_name_Hall '-I 4 2'
loop_
_atom_site_label
_atom_site_fract_x
_atom_site_fract_y
_atom_site_fract_z
Th1 0.000 0.000 0.000
Th2 0.000 0.500 0.250
S1 0.000 0.000 0.500
```

Top 6 peaks for 15 to 90 degrees two-theta, by intensity:
| 2theta | d (Å) | I (rel.) | (hkl) |
| --- | --- | --- | --- |
| 32.56 | 2.750 | 100 | 1 1 2 |
| 38.54 | 2.336 | 32 | 2 0 0 |
| 65.97 | 1.416 | 27 | 3 1 2 |
| 53.89 | 1.701 | 25 | 2 0 4 |
| 21.01 | 4.227 | 21 | 1 0 1 |
| 36.19 | 2.482 | 19 | 0 0 4 |



- What is the formula in the third record?
  Th3S



Repeat the third record exactly.
Th3S: simulated powder X-ray diffraction pattern (Cu Kα (λ = 1.5418 Å)), based on the GGA-PBE geometry in Alexandria.

```
data_Th3S
_cell_length_a 4.672
_cell_length_b 4.672
_cell_length_c 9.929
_cell_angle_alpha 90.00
_cell_angle_beta 90.00
_cell_angle_gamma 90.00
_symmetry_space_group_name_H-M 'I 4/m m m'
_symmetry_Int_Tables_number 139
_symmetry_space_group_name_Hall '-I 4 2'
loop_
_atom_site_label
_atom_site_fract_x
_atom_site_fract_y
_atom_site_fract_z
Th1 0.000 0.000 0.000
Th2 0.000 0.500 0.250
S1 0.000 0.000 0.500
```

Top 6 peaks for 15 to 90 degrees two-theta, by intensity:
| 2theta | d (Å) | I (rel.) | (hkl) |
| --- | --- | --- | --- |
| 32.56 | 2.750 | 100 | 1 1 2 |
| 38.54 | 2.336 | 32 | 2 0 0 |
| 65.97 | 1.416 | 27 | 3 1 2 |
| 53.89 | 1.701 | 25 | 2 0 4 |
| 21.01 | 4.227 | 21 | 1 0 1 |
| 36.19 | 2.482 | 19 | 0 0 4 |